Diffraction record for Mg2ZnO3. The PXRD pattern is theoretical, not measured: it uses DFT lattice parameters and positions (PBE) and Cu Ka.
Lines closer than 0.1° are merged.

Cell lengths 3.0330, 3.0330, 7.4033 Å; angles 90.00, 90.00, 120.00 degrees
Space group P-3m1 (No. 164)
Inequivalent atoms, fractional coordinates:
Mg1 0.3333 0.6667 0.1658 x2
Zn1 0.0000 0.0000 0.5000 x1
O1 0.0000 0.0000 0.0000 x1
O2 0.3333 0.6667 0.6726 x2

Main lines, by angle (10 to 90 degrees two-theta):
- hkl 0 0 1, d = 7.403 Å, I 43
- hkl 0 0 2, d = 3.702 Å, I 9
- hkl 1 0 0, d = 2.627 Å, I 12
- hkl 1 0 1, d = 2.475 Å, I 38
- hkl 0 0 3, d = 2.468 Å, I 9
- hkl 0 1 2, d = 2.142 Å, I 100
- hkl 1 1 0, d = 1.516 Å, I 27
- hkl 1 0 4, d = 1.513 Å, I 29
- hkl 1 1 3, d = 1.292 Å, I 14
- hkl 2 0 2, d = 1.238 Å, I 14

Diffraction record for MgZn3O4. The PXRD pattern is theoretical, not measured: it uses DFT lattice parameters and positions (PBE) and Cu Ka.
Lines closer than 0.1° are merged.

Cell lengths 11.9746, 3.2929, 5.6895 Å; angles 90.00, 118.37, 90.00 degrees
Space group Cm (No. 8)
Inequivalent atoms, fractional coordinates:
Mg1 0.0000 0.0000 0.0000 x2
Zn1 0.0005 0.5000 0.5043 x2
Zn2 0.2485 0.0000 0.5858 x2
Zn3 0.2481 0.5000 0.0819 x2
O1 0.0575 0.5000 0.8957 x2
O2 0.0580 0.0000 0.3910 x2
O3 0.3083 0.0000 0.3103 x2
O4 0.3104 0.5000 0.8125 x2

Main lines, by angle (10 to 90 degrees two-theta):
- hkl 2 0 -1, d = 5.006 Å, I 13
- hkl 1 1 -1, d = 2.848 Å, I 61
- hkl 4 0 0, d = 2.634 Å, I 42
- hkl 4 0 -2, d = 2.506 Å, I 100
- hkl 3 1 1, d = 1.934 Å, I 27
- hkl 0 2 0, d = 1.646 Å, I 13
- hkl 3 1 -3, d = 1.643 Å, I 26
- hkl 4 0 2, d = 1.495 Å, I 37
- hkl 4 2 0, d = 1.396 Å, I 10
- hkl 1 1 3, d = 1.394 Å, I 20

Diffraction record for MgZnO2. The PXRD pattern is theoretical, not measured: it uses DFT lattice parameters and positions (PBE) and Cu Ka.
Lines closer than 0.1° are merged.

Cell lengths 3.0436, 3.0436, 14.8394 Å; angles 90.00, 90.00, 120.00 degrees
Space group R-3m (No. 166, hexagonal axes)
Inequivalent atoms, fractional coordinates:
Mg1 0.0000 0.0000 0.0000 x3
Zn1 0.0000 0.0000 0.5000 x3
O1 0.0000 0.0000 0.2529 x6

Main lines, by angle (10 to 90 degrees two-theta):
- hkl 0 0 3, d = 4.946 Å, I 33
- hkl 1 0 1, d = 2.595 Å, I 23
- hkl 0 1 2, d = 2.484 Å, I 38
- hkl 0 0 6, d = 2.473 Å, I 13
- hkl 1 0 4, d = 2.149 Å, I 100
- hkl 0 1 5, d = 1.971 Å, I 11
- hkl 1 1 0, d = 1.522 Å, I 29
- hkl 0 1 8, d = 1.517 Å, I 29
- hkl 1 1 6, d = 1.297 Å, I 17
- hkl 0 2 4, d = 1.242 Å, I 14

Diffraction record for MgZn2O3. The PXRD pattern is theoretical, not measured: it uses DFT lattice parameters and positions (PBE) and Cu Ka.
Lines closer than 0.1° are merged.

Cell lengths 3.0526, 3.0526, 7.4520 Å; angles 90.00, 90.00, 120.00 degrees
Space group P-3m1 (No. 164)
Inequivalent atoms, fractional coordinates:
Mg1 0.0000 0.0000 0.0000 x1
Zn1 0.3333 0.6667 0.6684 x2
O1 0.0000 0.0000 0.5000 x1
O2 0.3333 0.6667 0.1607 x2

Main lines, by angle (10 to 90 degrees two-theta):
- hkl 0 0 1, d = 7.452 Å, I 26
- hkl 1 0 0, d = 2.644 Å, I 8
- hkl 1 0 1, d = 2.491 Å, I 52
- hkl 0 0 3, d = 2.484 Å, I 15
- hkl 0 1 2, d = 2.156 Å, I 100
- hkl 1 1 0, d = 1.526 Å, I 28
- hkl 1 0 4, d = 1.523 Å, I 30
- hkl 1 1 3, d = 1.301 Å, I 20
- hkl 0 1 5, d = 1.298 Å, I 7
- hkl 2 0 2, d = 1.246 Å, I 14

Diffraction record for MgZnO2. The PXRD pattern is theoretical, not measured: it uses DFT lattice parameters and positions (PBE) and Cu Ka.
Lines closer than 0.1° are merged.

Cell lengths 3.3057, 3.3057, 5.2091 Å; angles 90.00, 90.00, 120.00 degrees
Space group P3m1 (No. 156)
Inequivalent atoms, fractional coordinates:
Mg1 0.0000 0.0000 0.0000 x1
Zn1 0.3333 0.6667 0.5064 x1
O1 0.0000 0.0000 0.3860 x1
O2 0.3333 0.6667 0.8926 x1

Main lines, by angle (10 to 90 degrees two-theta):
- hkl 0 0 1, d = 5.209 Å, I 43
- hkl 1 0 0, d = 2.863 Å, I 89
- hkl 0 0 2, d = 2.605 Å, I 44
- hkl 0 1 1, d = 2.509 Å, I 100
- hkl 0 1 2, d = 1.927 Å, I 41
- hkl 1 1 0, d = 1.653 Å, I 44
- hkl 0 1 3, d = 1.485 Å, I 39
- hkl 1 1 2, d = 1.396 Å, I 32
- hkl 2 0 1, d = 1.380 Å, I 15
- hkl 2 0 3, d = 1.104 Å, I 14

Diffraction record for MgZr4O9. The PXRD pattern is theoretical, not measured: it uses DFT lattice parameters and positions (PBE) and Cu Ka.
Lines closer than 0.1° are merged.

Cell lengths 32.5224, 3.4652, 6.0760 Å; angles 90.00, 91.60, 90.00 degrees
Space group C2/m (No. 12)
Inequivalent atoms, fractional coordinates:
Mg1 0.0000 0.0000 0.0000 x2
Mg2 0.0000 0.5000 0.5000 x2
Zr1 0.0799 0.0000 0.6880 x4
Zr2 0.1001 0.5000 0.1878 x4
Zr3 0.1883 0.0000 0.4037 x4
Zr4 0.2060 0.5000 0.8888 x4
O1 0.0169 0.0000 0.7034 x4
O2 0.0614 0.5000 0.4600 x4
O3 0.0653 0.0000 0.0669 x4
O4 0.1057 0.5000 0.8332 x4
O5 0.1232 0.0000 0.4043 x4
O6 0.1656 0.5000 0.1717 x4
O7 0.1788 0.0000 0.7639 x4
O8 0.2151 0.5000 0.5296 x4
O9 0.2290 0.0000 0.1209 x4

Main lines, by angle (10 to 90 degrees two-theta):
- hkl 8 0 0, d = 4.064 Å, I 23
- hkl 10 0 0, d = 3.251 Å, I 42
- hkl 3 1 1, d = 2.890 Å, I 100
- hkl 4 0 -2, d = 2.871 Å, I 44
- hkl 6 0 2, d = 2.618 Å, I 16
- hkl 7 1 -1, d = 2.542 Å, I 20
- hkl 13 1 1, d = 1.911 Å, I 21
- hkl 1 1 -3, d = 1.748 Å, I 34
- hkl 0 2 0, d = 1.733 Å, I 20
- hkl 19 1 0, d = 1.534 Å, I 15

Diffraction record for Mg2Zr5O12. The PXRD pattern is theoretical, not measured: it uses DFT lattice parameters and positions (PBE) and Cu Ka.
Lines closer than 0.1° are merged.

Cell lengths 6.1672, 6.2363, 12.5621 Å; angles 99.34, 99.52, 98.91 degrees
Space group P-1 (No. 2)
Inequivalent atoms, fractional coordinates:
Mg1 0.0952 0.1360 0.4097 x2
Mg2 0.3618 0.6788 0.9537 x2
Zr1 0.1175 0.1450 0.9119 x2
Zr2 0.1784 0.3923 0.6803 x2
Zr3 0.1959 0.3855 0.1794 x2
Zr4 0.3628 0.6991 0.4492 x2
Zr5 0.4910 0.9930 0.7520 x2
O1 0.0599 0.4165 0.8372 x2
O2 0.0734 0.8149 0.4592 x2
O3 0.0796 0.8192 0.9578 x2
O4 0.0813 0.4171 0.3400 x2
O5 0.1688 0.0666 0.7104 x2
O6 0.1839 0.0532 0.1918 x2
O7 0.3157 0.4192 0.0398 x2
O8 0.3267 0.4463 0.5461 x2
O9 0.4137 0.6728 0.7794 x2
O10 0.4147 0.6816 0.2842 x2
O11 0.4355 0.0848 0.4102 x2
O12 0.4429 0.1076 0.9095 x2

Main lines, by angle (10 to 90 degrees two-theta):
- hkl 1 0 -4, d = 2.956 Å, I 100
- hkl 0 2 -2, d = 2.942 Å, I 50
- hkl 2 -1 0, d = 2.902 Å, I 50
- hkl -1 2 2, d = 2.549 Å, I 28
- hkl 0 1 6, d = 1.818 Å, I 17
- hkl 1 3 0, d = 1.810 Å, I 14
- hkl 1 2 -6, d = 1.806 Å, I 17
- hkl 3 0 2, d = 1.792 Å, I 16
- hkl -3 1 4, d = 1.787 Å, I 34
- hkl 1 -3 6, d = 1.535 Å, I 15

Diffraction record for MgOs. The PXRD pattern is theoretical, not measured: it uses DFT lattice parameters and positions (PBE) and Cu Ka.
Lines closer than 0.1° are merged.

Cell lengths 4.5146, 2.8173, 5.0311 Å; angles 90.00, 90.00, 90.00 degrees
Space group Pmma (No. 51)
Inequivalent atoms, fractional coordinates:
Mg1 0.2500 0.0000 0.1488 x2
Os1 0.2500 0.5000 0.6215 x2

Main lines, by angle (10 to 90 degrees two-theta):
- hkl 0 0 1, d = 5.031 Å, I 100
- hkl 1 0 1, d = 3.360 Å, I 63
- hkl 0 1 0, d = 2.817 Å, I 44
- hkl 0 1 1, d = 2.458 Å, I 53
- hkl 2 0 0, d = 2.257 Å, I 42
- hkl 1 0 2, d = 2.197 Å, I 76
- hkl 1 1 1, d = 2.159 Å, I 73
- hkl 2 1 0, d = 1.762 Å, I 23
- hkl 1 1 2, d = 1.733 Å, I 44
- hkl 2 1 1, d = 1.663 Å, I 33

Diffraction record for Mg2OsS6. The PXRD pattern is theoretical, not measured: it uses DFT lattice parameters and positions (PBE) and Cu Ka.
Lines closer than 0.1° are merged.

Cell lengths 8.8688, 8.8688, 8.8688 Å; angles 90.00, 90.00, 90.00 degrees
Space group Fm-3m (No. 225)
Inequivalent atoms, fractional coordinates:
Mg1 0.2500 0.2500 0.2500 x8
Os1 0.0000 0.0000 0.0000 x4
S1 0.0000 0.0000 0.2621 x24

Main lines, by angle (10 to 90 degrees two-theta):
- hkl 1 1 1, d = 5.120 Å, I 100
- hkl 2 0 0, d = 4.434 Å, I 80
- hkl 2 2 0, d = 3.136 Å, I 47
- hkl 3 1 1, d = 2.674 Å, I 77
- hkl 4 0 0, d = 2.217 Å, I 56
- hkl 3 3 1, d = 2.035 Å, I 42
- hkl 4 2 0, d = 1.983 Å, I 34
- hkl 3 3 3, d = 1.707 Å, I 23
- hkl 4 4 0, d = 1.568 Å, I 36
- hkl 5 3 1, d = 1.499 Å, I 22

Diffraction record for Tm2MgOs. The PXRD pattern is theoretical, not measured: it uses DFT lattice parameters and positions (PBE) and Cu Ka.
Lines closer than 0.1° are merged.

Cell lengths 6.9820, 6.9820, 6.9820 Å; angles 90.00, 90.00, 90.00 degrees
Space group Fm-3m (No. 225)
Inequivalent atoms, fractional coordinates:
Tm1 0.2500 0.2500 0.2500 x8
Mg1 0.0000 0.0000 0.0000 x4
Os1 0.0000 0.0000 0.5000 x4

Main lines, by angle (10 to 90 degrees two-theta):
- hkl 1 1 1, d = 4.031 Å, I 20
- hkl 2 0 0, d = 3.491 Å, I 6
- hkl 2 2 0, d = 2.468 Å, I 100
- hkl 3 1 1, d = 2.105 Å, I 11
- hkl 4 0 0, d = 1.745 Å, I 18
- hkl 3 3 1, d = 1.602 Å, I 5
- hkl 4 2 2, d = 1.425 Å, I 36
- hkl 4 4 0, d = 1.234 Å, I 11
- hkl 5 3 1, d = 1.180 Å, I 4
- hkl 6 2 0, d = 1.104 Å, I 17

Diffraction record for Mg3P2. The PXRD pattern is theoretical, not measured: it uses DFT lattice parameters and positions (PBE) and Cu Ka.
Lines closer than 0.1° are merged.

Cell lengths 12.0693, 12.0693, 12.0693 Å; angles 90.00, 90.00, 90.00 degrees
Space group Ia-3 (No. 206)
Inequivalent atoms, fractional coordinates:
Mg1 0.1135 0.1463 0.6203 x48
P1 0.0000 0.2500 0.4762 x24
P2 0.2500 0.2500 0.2500 x8

Main lines, by angle (10 to 90 degrees two-theta):
- hkl 2 1 1, d = 4.927 Å, I 18
- hkl 2 2 2, d = 3.484 Å, I 68
- hkl 3 2 1, d = 3.226 Å, I 15
- hkl 3 3 2, d = 2.573 Å, I 22
- hkl 4 4 0, d = 2.134 Å, I 100
- hkl 6 2 2, d = 1.820 Å, I 22
- hkl 6 1 3, d = 1.780 Å, I 9
- hkl 7 2 1, d = 1.642 Å, I 12
- hkl 8 0 0, d = 1.509 Å, I 13
- hkl 8 4 4, d = 1.232 Å, I 19

Diffraction record for Mg2P. The PXRD pattern is theoretical, not measured: it uses DFT lattice parameters and positions (PBE) and Cu Ka.
Lines closer than 0.1° are merged.

Cell lengths 3.8043, 10.7031, 5.5770 Å; angles 90.00, 90.00, 90.00 degrees
Space group Cmcm (No. 63)
Inequivalent atoms, fractional coordinates:
Mg1 0.0000 0.0000 0.0000 x4
Mg2 0.0000 0.2965 0.2500 x4
P1 0.0000 0.3741 0.7500 x4

Main lines, by angle (10 to 90 degrees two-theta):
- hkl 0 2 1, d = 3.861 Å, I 20
- hkl 1 3 0, d = 2.602 Å, I 100
- hkl 0 2 2, d = 2.473 Å, I 43
- hkl 1 3 1, d = 2.358 Å, I 46
- hkl 1 1 2, d = 2.201 Å, I 79
- hkl 0 4 2, d = 1.931 Å, I 18
- hkl 2 0 0, d = 1.902 Å, I 32
- hkl 0 6 1, d = 1.699 Å, I 17
- hkl 2 2 2, d = 1.508 Å, I 17
- hkl 1 3 4, d = 1.229 Å, I 17

Diffraction record for Mg3P2. The PXRD pattern is theoretical, not measured: it uses DFT lattice parameters and positions (PBE) and Cu Ka.
Lines closer than 0.1° are merged.

Cell lengths 6.0244, 6.0244, 6.0244 Å; angles 90.00, 90.00, 90.00 degrees
Space group Pn-3m (No. 224, origin choice 2)
Inequivalent atoms, fractional coordinates:
Mg1 0.2500 0.2500 0.7500 x6
P1 0.0000 0.0000 0.0000 x4

Main lines, by angle (10 to 90 degrees two-theta):
- hkl 1 1 0, d = 4.260 Å, I 24
- hkl 1 1 1, d = 3.478 Å, I 58
- hkl 2 1 1, d = 2.459 Å, I 11
- hkl 2 2 0, d = 2.130 Å, I 100
- hkl 3 1 1, d = 1.816 Å, I 22
- hkl 3 2 1, d = 1.610 Å, I 6
- hkl 4 0 0, d = 1.506 Å, I 16
- hkl 3 3 1, d = 1.382 Å, I 9
- hkl 4 2 2, d = 1.230 Å, I 31
- hkl 5 1 1, d = 1.159 Å, I 7